# Be4Si
Theoretical powder diffraction line list, Cu Kα X-rays. Input: a structure optimized by DFT (GGA-PBE).
Kinematic intensities with the Lorentz-polarization factor, no thermal factor.

Unit cell a=4.1488 b=4.1488 c=4.1488 alpha=99.29 beta=99.29 gamma=132.63
Atoms (fractional coordinates):
Be (0.0972, 0.6940, 0.7912)
Be (0.3060, 0.0972, 0.4033)
Be (0.6940, 0.9028, 0.5967)
Be (0.9028, 0.3060, 0.2088)
Si (0.5000, 0.5000, 0.0000)

The 12 most intense peaks (10° ≤ 2θ ≤ 80°), by angle:
two_theta, d [Å], I (rel.)
23.41, 3.799, 50
31.59, 2.832, 51
33.35, 2.687, 23
46.60, 1.949, 100
47.88, 1.900, 7
53.97, 1.699, 33
55.11, 1.667, 13
58.50, 1.578, 7
60.68, 1.526, 7
69.04, 1.360, 10
78.87, 1.214, 8
79.83, 1.201, 10